Computed XRD peak list
Compound: TlMoF5
Radiation: Cu Kα (λ = 1.5418 Å)
Structure: a cell relaxed with PBE+U
Neutral-atom scattering factors, no anomalous dispersion.

Top 10 peaks for 2θ from 10° to 90°, sorted by position:
2θ (°)  d [Å]  I (rel.)  h k l
11.01  8.038  28  0 0 1
22.12  4.019  100  0 0 2
23.83  3.735  79  1 1 1
24.32  3.660  70  1 -1 0
28.74  3.106  42  1 1 -1
29.36  3.042  45  1 -1 2
31.24  2.863  41  0 2 1
31.69  2.824  39  0 2 -1
36.33  2.473  21  1 1 3
36.51  2.461  24  -1 1 2

```
data_TlMoF5
_symmetry_space_group_name_H-M 'P -1'
_symmetry_Int_Tables_number 2
_symmetry_space_group_name_Hall '-P 1'
_cell_length_a 4.843
_cell_length_b 6.083
_cell_length_c 8.383
_cell_angle_alpha 88.45
_cell_angle_beta 73.56
_cell_angle_gamma 88.61
loop_
_atom_site_label
_atom_site_type_symbol
_atom_site_fract_x
_atom_site_fract_y
_atom_site_fract_z
_atom_site_occupancy
Tl1 Tl 0.205 0.246 0.494 1
Mo1 Mo 0.000 0.000 0.000 1
Mo2 Mo 0.500 0.500 0.000 1
F1 F 0.117 0.989 0.202 1
F2 F 0.192 0.488 0.225 1
F3 F 0.276 0.258 0.908 1
F4 F 0.297 0.798 0.503 1
F5 F 0.305 0.772 0.902 1
```